Simulated powder X-ray diffraction pattern
Compound: AgSbH4O2F6
Radiation: Cu Kα (weighted mean of Kα1 and Kα2)
Structure: a structure optimized by DFT (PBE)
Kinematic intensities with the Lorentz-polarization factor, no thermal factor.

Peak list (10 most intense, 10° ≤ 2θ ≤ 80°, in order of falling intensity)
d_spacing  Position (°2θ)  I_rel  (hkl)
4.653  19.07  100  1 0 1
3.319  26.86  88  0 2 0
4.225  21.03  81  1 0 -2
4.449  19.96  59  0 1 -2
3.791  23.47  59  0 1 2
3.452  25.81  59  1 -2 1
2.881  31.04  55  2 0 -1
5.014  17.69  38  -1 1 1
3.289  27.11  32  0 1 -3
2.736  32.73  30  -2 2 1

Atomic structure:
Lattice parameters (Å, degrees): 6.3017 7.3209 10.5710 95.77 97.11 113.19
Sites, in units of the cell vectors:
Ag 0.0000 0.0000 0.0000
Ag 0.2649 0.4948 0.5286
Ag 0.7351 0.5052 0.4714
Sb 0.0000 0.5000 0.0000
Sb 0.3034 0.0544 0.7034
Sb 0.6966 0.9456 0.2966
H 0.0505 0.5366 0.2915
H 0.1549 0.7627 0.3588
H 0.3239 0.1891 0.3669
H 0.3651 0.3162 0.2555
H 0.4368 0.3283 0.0583
H 0.4593 0.1403 0.1079
H 0.5407 0.8597 0.8921
H 0.5632 0.6717 0.9417
H 0.6349 0.6838 0.7445
H 0.6761 0.8109 0.6331
H 0.8451 0.2373 0.6412
H 0.9495 0.4634 0.7085
O 0.0665 0.6245 0.3717
O 0.3597 0.2159 0.1034
O 0.3694 0.3270 0.3502
O 0.6306 0.6730 0.6498
O 0.6403 0.7841 0.8966
O 0.9335 0.3755 0.6283
F 0.0229 0.0628 0.7481
F 0.0281 0.3845 0.1524
F 0.1411 0.7750 0.6362
F 0.1808 0.7628 0.0947
F 0.2367 0.1168 0.5364
F 0.2777 0.4789 0.9580
F 0.3678 0.9824 0.8705
F 0.4181 0.9654 0.3403
F 0.4753 0.3322 0.7719
F 0.5247 0.6678 0.2281
F 0.5819 0.0346 0.6597
F 0.6322 0.0176 0.1295
F 0.7223 0.5211 0.0420
F 0.7633 0.8832 0.4636
F 0.8192 0.2372 0.9053
F 0.8589 0.2250 0.3638
F 0.9719 0.6155 0.8476
F 0.9771 0.9372 0.2519